For Ac2LaTbPm4, a PBE-relaxed structure gives the simulated powder XRD pattern in this record (Cu Ka).

Principal peaks in the range 10 to 90 degrees two-theta, in order of falling intensity:
2θ/deg  I (rel.)
28.94  100
39.14  87
25.78  66
29.30  50
39.42  43
61.51  22
58.07  14
58.64  13
58.75  13
77.23  11

Structural model:
abc: 9.8798 9.8798 7.1537
angles: 111.13 111.13 88.78
Sites, in units of the cell vectors:
Ac 0.0000 0.0000 0.0000
Ac 0.0000 0.0000 0.5000
Ac 0.0000 0.5000 0.0000
Ac 0.5000 0.0000 0.5000
La 0.5000 0.5000 0.0000
La 0.5000 0.5000 0.5000
Tb 0.0000 0.5000 0.5000
Tb 0.5000 0.0000 0.0000
Pm 0.2538 0.2720 0.5142
Pm 0.2600 0.7396 0.5160
Pm 0.2604 0.7400 0.9840
Pm 0.2720 0.2538 0.0142
Pm 0.7280 0.7462 0.9858
Pm 0.7396 0.2600 0.0160
Pm 0.7400 0.2604 0.4840
Pm 0.7462 0.7280 0.4858